Diffraction record for Ba2Cd5Au3. The X-ray powder pattern is calculated, not measured: it uses the PBE geometry in Alexandria and Cu Kα (λ = 1.5418 Å).
No peak broadening, texture or thermal motion is included.

Main lines, in order of falling intensity (10° ≤ 2θ ≤ 80°):
hkl, 2theta, I (rel.)
1 1 2, 30.57, 100
2 0 0, 38.59, 68
1 1 4, 39.48, 53
1 0 3, 28.54, 45
1 0 5, 40.58, 34
2 1 5, 57.24, 25
2 2 0, 55.72, 23
3 1 2, 64.90, 23

Atomic structure:
```
data_Ba2Cd5Au3
_chemical_formula_sum 'Ba2 Cd5 Au3'
_cell_length_a 4.666
_cell_length_b 4.666
_cell_length_c 12.643
_cell_angle_alpha 90.00
_cell_angle_beta 90.00
_cell_angle_gamma 90.00
_space_group_name_H-M_alt 'P -4 m 2'
_space_group_IT_number 115
loop_
_space_group_symop_operation_xyz
'x,y,z'
'y,-x,-z'
'-x,-y,z'
'-y,x,-z'
'-x,y,z'
'-y,-x,-z'
'x,-y,z'
'y,x,-z'
loop_
_atom_site_label
_atom_site_type_symbol
_atom_site_fract_x
_atom_site_fract_y
_atom_site_fract_z
_atom_site_occupancy
Ba1 Ba 0.000 0.500 0.225 1
Cd1 Cd 0.000 0.000 0.500 1
Cd2 Cd 0.000 0.500 0.643 1
Cd3 Cd 0.500 0.500 0.000 1
Cd4 Cd 0.500 0.500 0.500 1
Au1 Au 0.000 0.000 0.000 1
Au2 Au 0.000 0.500 0.864 1
```